# KMnNi
Computed X-ray powder pattern, Cu Kα. Input: a GGA-PBE-relaxed structure.
Kinematic intensities with the Lorentz-polarization factor, no thermal factor.

Largest 8 diffraction maxima, by angle, 10 to 90 degrees two-theta:
two_theta, I (rel.)
15.10, 100
22.73, 62
29.28, 45
38.34, 74
41.29, 62
41.90, 64
43.28, 46
44.63, 45

Crystal structure
```
data_KMnNi
_chemical_formula_sum 'K2 Mn2 Ni2'
_cell_length_a 3.4026
_cell_length_b 3.4914
_cell_length_c 11.7864
_cell_angle_alpha 87.74
_cell_angle_beta 85.20
_cell_angle_gamma 89.41
_space_group_name_H-M_alt 'P 1'
_space_group_IT_number 1
loop_
_space_group_symop_operation_xyz
'x,y,z'
loop_
_atom_site_label
_atom_site_fract_x
_atom_site_fract_y
_atom_site_fract_z
_atom_site_occupancy
K1 0.0000 0.0000 0.0000 1
K2 0.4301 0.4375 0.3557 1
Mn1 0.1177 0.0773 0.6138 1
Mn2 0.6566 0.6862 0.6141 1
Ni1 0.0992 0.6026 0.7620 1
Ni2 0.5903 0.1252 0.7618 1
```